# 1
For SrYGa2Au2, DFT lattice parameters and positions (PBE) gives the simulated XRD peak list in this record (Cu Kα).
Kinematic intensities with the Lorentz-polarization factor, no thermal factor.

Top 6 peaks for 2θ = 10–90°, by intensity:
two_theta  I_rel
32.6  100
38.9  89
25.1  49
51.6  27
66.5  25
11.7  23

Structure:
a = 4.6282 Å, b = 4.6282 Å, c = 7.5599 Å
α = 90.00°, β = 90.00°, γ = 120.00°
Space group P-3m1 (No. 164)
One atom of each set of equivalent atoms:
Sr 0.0000 0.0000 0.0000
Y 0.0000 0.0000 0.5000
Ga 0.3333 0.6667 0.7068
Au 0.3333 0.6667 0.2945

# 2
For ReTc2Ru6, DFT lattice parameters and positions (PBE) gives the simulated XRD peak list in this record (Cu Kα).
Kinematic intensities with the Lorentz-polarization factor, no thermal factor.

Top 6 peaks for 2θ = 10–90°, by intensity:
two_theta  I_rel
41.3  100
42.0  99
60.4  21
84.8  21
76.2  14
76.8  12

Structure:
a = 13.964 Å, b = 7.459 Å, c = 5.398 Å
α = 90.00°, β = 112.66°, γ = 90.00°
Space group C2/c (No. 15)
One atom of each set of equivalent atoms:
Re 0.000 0.015 0.250
Tc 0.167 0.485 0.417
Ru 0.000 0.334 0.508
Ru 0.166 0.166 0.675
Ru 0.167 0.166 0.159

# 3
For LiPrY2Cd4, DFT lattice parameters and positions (PBE) gives the simulated XRD peak list in this record (Cu Kα).
Kinematic intensities with the Lorentz-polarization factor, no thermal factor.

Top 6 peaks for 2θ = 10–90°, by intensity:
two_theta  I_rel
34.3  100
33.8  97
61.1  33
48.9  33
61.5  20
26.0  15

Structure:
a = 5.2222 Å, b = 5.2222 Å, c = 26.2447 Å
α = 90.00°, β = 90.00°, γ = 120.00°
Space group R-3m (No. 166, hexagonal axes)
One atom of each set of equivalent atoms:
Li 0.0000 0.0000 0.0000
Pr 0.0000 0.0000 0.5000
Y 0.0000 0.0000 0.2542
Cd 0.0000 0.0000 0.1159
Cd 0.0000 0.0000 0.3729